No. 1
# P3AuBr12
Computed powder diffractogram, Cu Kα (weighted mean of Kα1 and Kα2). Input: a cell relaxed with PBE.
Kinematic intensities with the Lorentz-polarization factor, no thermal factor.

Principal peaks in the range 10° ≤ 2θ ≤ 80°, in order of rising 2θ:
d_spacing	I_rel
6.889	100
5.784	58
5.701	41
5.503	44
4.807	79
3.444	30
3.267	59
3.216	37

Cell and atoms:
```
32
Lattice="6.711 3.875 11.403 -6.711 3.875 11.403 0.000 -7.750 11.403" Properties=species:S:1:pos:R:3 pbc="T T T"
P -1.506 -3.853 11.403
P -4.128 -0.644 17.104
P -2.584 3.230 11.403
P 2.622 -3.252 17.104
P 4.089 0.622 11.403
P 1.506 3.897 17.104
Au 0.000 0.000 4.601
Au 0.000 0.000 21.705
Br -1.894 -5.278 13.075
Br -5.793 -1.738 18.126
Br -4.016 1.576 10.872
Br -5.638 1.648 15.942
Br -1.391 -1.864 12.425
Br 0.644 -4.266 10.872
Br -2.695 -2.299 16.573
Br -3.624 4.279 13.075
Br 1.392 -5.707 15.942
Br -3.088 0.404 18.777
Br -0.918 2.137 12.425
Br -1.073 -2.227 21.644
Br 1.194 -2.876 18.777
Br 2.310 -0.273 12.425
Br -0.644 3.484 16.573
Br -1.392 2.043 21.644
Br 4.402 -4.148 18.126
Br 3.339 -1.184 16.573
Br 3.373 2.691 10.872
Br 1.894 2.472 18.777
Br 2.465 0.184 21.644
Br 5.518 0.999 13.075
Br 1.391 5.886 18.126
Br 4.246 4.059 15.942
```

No. 2
# LaCuBr6
Computed powder diffractogram, Cu Kα (weighted mean of Kα1 and Kα2). Input: a cell relaxed with PBE.
Kinematic intensities with the Lorentz-polarization factor, no thermal factor.

Principal peaks in the range 10° ≤ 2θ ≤ 80°, in order of rising 2θ:
d_spacing	I_rel
7.578	100
4.266	34
3.859	28
3.701	80
3.026	47
2.591	36
2.371	40
2.257	26

Cell and atoms:
```
8
Lattice="5.286 0.000 0.000 0.077 7.328 0.000 1.825 2.364 7.578" Properties=species:S:1:pos:R:3 pbc="T T T"
La 0.000 0.000 0.000
Cu 2.682 3.664 0.000
Br 0.781 6.884 2.767
Br 2.870 4.921 6.210
Br 4.223 8.039 6.371
Br 2.965 1.654 1.207
Br 4.318 4.771 1.368
Br 6.407 2.808 4.811
```

No. 3
# AcThOsI
Computed powder diffractogram, Cu Kα (weighted mean of Kα1 and Kα2). Input: a cell relaxed with PBE.
Kinematic intensities with the Lorentz-polarization factor, no thermal factor.

Principal peaks in the range 10° ≤ 2θ ≤ 80°, in order of rising 2θ:
d_spacing	I_rel
8.519	45
3.551	17
3.200	22
2.995	100
2.134	46
2.102	25
1.737	32
1.348	23

Cell and atoms:
```
4
Lattice="2.134 1.232 8.519 -2.134 1.232 8.519 0.000 -2.464 8.519" Properties=species:S:1:pos:R:3 pbc="T T T"
Ac 0.000 0.000 0.000
Th 0.000 0.000 5.451
Os 0.000 0.000 15.295
I 0.000 0.000 19.874
```

No. 4
# UCoSiH
Computed powder diffractogram, Cu Kα (weighted mean of Kα1 and Kα2). Input: a cell relaxed with PBE.
Kinematic intensities with the Lorentz-polarization factor, no thermal factor.

Principal peaks in the range 10° ≤ 2θ ≤ 80°, in order of rising 2θ:
d_spacing	I_rel
3.727	13
3.449	50
2.532	100
1.992	34
1.640	16
1.565	23
1.361	17
1.231	22

Cell and atoms:
```
4
Lattice="3.983 0.000 0.000 -1.992 3.449 0.000 0.000 0.000 3.727" Properties=species:S:1:pos:R:3 pbc="T T T"
U 0.000 0.000 0.000
Co 1.992 1.150 1.570
Si 0.000 2.300 1.888
H 1.992 1.150 3.593
```